1.
The following is a calculated X-ray diffraction stick pattern of LiGe2PtO6. It was derived from a cell relaxed with PBE, using Cu Ka.

Cell and atoms:
Cell: 6.732 6.732 5.215 Å, 98.00 98.00 85.17°
Fractional positions:
Li  0.086  0.914  0.750
Li  0.914  0.086  0.250
Ge  0.202  0.397  0.723
Ge  0.397  0.202  0.223
Ge  0.603  0.798  0.777
Ge  0.798  0.603  0.277
Pt  0.270  0.730  0.250
Pt  0.730  0.270  0.750
O  0.020  0.219  0.628
O  0.133  0.631  0.888
O  0.219  0.020  0.128
O  0.291  0.430  0.412
O  0.369  0.867  0.612
O  0.430  0.291  0.912
O  0.570  0.709  0.088
O  0.631  0.133  0.388
O  0.709  0.570  0.588
O  0.781  0.980  0.872
O  0.867  0.369  0.112
O  0.980  0.781  0.372

Largest 10 diffraction maxima, low angle first, 10° ≤ 2θ ≤ 90°:
- 2θ 19.5, I = 34.6
- 2θ 20.5, I = 73.8
- 2θ 23.2, I = 80.8
- 2θ 26.8, I = 100.0
- 2θ 30.1, I = 31.5
- 2θ 31.3, I = 89.1
- 2θ 34.7, I = 64.6
- 2θ 35.0, I = 47.8
- 2θ 36.8, I = 47.5
- 2θ 43.9, I = 33.9

---

2.
The following is a calculated X-ray diffraction stick pattern of CaBe2Co2. It was derived from a cell relaxed with PBE, using Cu Ka.

Cell and atoms:
Cell: 6.694 6.694 2.714 Å, 90.00 90.00 90.00°
Fractional positions:
Ca  0.000  0.000  0.000
Ca  0.500  0.500  0.000
Be  0.117  0.383  0.000
Be  0.383  0.883  0.000
Be  0.617  0.117  0.000
Be  0.883  0.617  0.000
Co  0.154  0.654  0.500
Co  0.346  0.154  0.500
Co  0.654  0.846  0.500
Co  0.846  0.346  0.500

Largest 10 diffraction maxima, low angle first, 10° ≤ 2θ ≤ 90°:
- 2θ 29.8, I = 100.0
- 2θ 33.0, I = 12.2
- 2θ 38.2, I = 37.5
- 2θ 42.7, I = 63.3
- 2θ 42.9, I = 35.8
- 2θ 45.1, I = 86.3
- 2θ 65.5, I = 17.7
- 2θ 68.8, I = 24.3
- 2θ 84.9, I = 14.7
- 2θ 86.0, I = 15.9

---

3.
The following is a calculated X-ray diffraction stick pattern of Na2BiPCO7. It was derived from a cell relaxed with PBE, using Cu Ka.

Cell and atoms:
Cell: 5.354 7.000 9.477 Å, 90.00 90.73 90.00°
Fractional positions:
Na  0.246  0.013  0.291
Na  0.246  0.487  0.291
Na  0.754  0.513  0.709
Na  0.754  0.987  0.709
Bi  0.298  0.250  0.887
Bi  0.702  0.750  0.113
P  0.230  0.750  0.899
P  0.770  0.250  0.101
C  0.253  0.250  0.595
C  0.747  0.750  0.405
O  0.051  0.250  0.136
O  0.054  0.250  0.676
O  0.241  0.250  0.463
O  0.264  0.750  0.065
O  0.368  0.572  0.839
O  0.368  0.928  0.839
O  0.470  0.250  0.666
O  0.530  0.750  0.334
O  0.632  0.072  0.161
O  0.632  0.428  0.161
O  0.736  0.250  0.935
O  0.759  0.750  0.537
O  0.946  0.750  0.324
O  0.949  0.750  0.864

Largest 10 diffraction maxima, low angle first, 10° ≤ 2θ ≤ 90°:
- 2θ 15.7, I = 88.6
- 2θ 18.9, I = 52.9
- 2θ 20.9, I = 100.0
- 2θ 22.7, I = 35.6
- 2θ 23.0, I = 32.3
- 2θ 24.9, I = 59.4
- 2θ 25.3, I = 55.2
- 2θ 25.4, I = 67.4
- 2θ 27.2, I = 44.0
- 2θ 31.9, I = 44.8

---

Which formula does entry 3 have?
Na2BiPCO7